This entry pairs a crystal structure of Ac3CdSi2Pt9 with its theoretical X-ray powder pattern. Radiation: a wavelength of 1.5418 Å. Structure: a DFT-relaxed cell (PBE, Alexandria).
Kinematic intensities with the Lorentz-polarization factor, no thermal factor.

Most intense lines, 15° ≤ 2θ ≤ 90°, sorted by position:
| 2theta | I/Imax |
| --- | --- |
| 24.32 | 62 |
| 30.00 | 16 |
| 35.98 | 100 |
| 37.15 | 12 |
| 38.77 | 100 |
| 48.60 | 31 |
| 55.07 | 15 |
| 62.79 | 28 |
| 68.37 | 22 |
| 76.29 | 14 |

Cell and atoms:
a = 5.9199 Å, b = 5.9199 Å, c = 10.9794 Å
α = 90.00°, β = 90.00°, γ = 120.00°
Sites, in units of the cell vectors:
Ac  0.0000  0.0000  0.0000
Ac  0.3333  0.6667  0.6187
Ac  0.6667  0.3333  0.3813
Cd  0.0000  0.0000  0.5000
Si  0.3333  0.6667  0.1571
Si  0.6667  0.3333  0.8429
Pt  0.0000  0.5000  0.0000
Pt  0.1601  0.3203  0.2979
Pt  0.1601  0.8399  0.2979
Pt  0.3203  0.1601  0.7021
Pt  0.5000  0.0000  0.0000
Pt  0.5000  0.5000  0.0000
Pt  0.6797  0.8399  0.2979
Pt  0.8399  0.1601  0.7021
Pt  0.8399  0.6797  0.7021


This entry pairs a crystal structure of AcCd2SnPt2 with its theoretical X-ray powder pattern. Radiation: a wavelength of 1.5418 Å. Structure: a DFT-relaxed cell (PBE, Alexandria).
Kinematic intensities with the Lorentz-polarization factor, no thermal factor.

Most intense lines, 15° ≤ 2θ ≤ 90°, sorted by position:
| 2theta | I/Imax |
| --- | --- |
| 15.91 | 23 |
| 23.34 | 64 |
| 32.14 | 51 |
| 33.25 | 100 |
| 40.11 | 29 |
| 46.92 | 72 |
| 47.73 | 37 |
| 58.71 | 37 |
| 79.54 | 17 |
| 88.38 | 25 |

Cell and atoms:
a = 6.7482 Å, b = 6.7482 Å, c = 6.7482 Å
α = 132.93°, β = 132.93°, γ = 68.77°
Sites, in units of the cell vectors:
Ac  0.0000  0.0000  0.0000
Cd  0.2500  0.7500  0.5000
Cd  0.7500  0.2500  0.5000
Sn  0.5000  0.5000  0.0000
Pt  0.2656  0.2656  0.0000
Pt  0.7344  0.7344  0.0000


This entry pairs a crystal structure of Ac2CdSn3Pt6 with its theoretical X-ray powder pattern. Radiation: a wavelength of 1.5418 Å. Structure: a DFT-relaxed cell (PBE, Alexandria).
Kinematic intensities with the Lorentz-polarization factor, no thermal factor.

Most intense lines, 15° ≤ 2θ ≤ 90°, sorted by position:
| 2theta | I/Imax |
| --- | --- |
| 26.14 | 34 |
| 26.30 | 39 |
| 30.01 | 93 |
| 31.41 | 39 |
| 33.61 | 57 |
| 36.51 | 38 |
| 42.26 | 100 |
| 42.94 | 49 |
| 43.87 | 84 |
| 50.43 | 39 |

Cell and atoms:
a = 4.2775 Å, b = 4.2775 Å, c = 16.9400 Å
α = 90.00°, β = 90.00°, γ = 90.00°
Sites, in units of the cell vectors:
Ac  0.0000  0.0000  0.1972
Ac  0.0000  0.0000  0.8028
Cd  0.0000  0.0000  0.5000
Sn  0.5000  0.5000  0.0000
Sn  0.5000  0.5000  0.3078
Sn  0.5000  0.5000  0.6922
Pt  0.0000  0.5000  0.3957
Pt  0.0000  0.5000  0.6043
Pt  0.5000  0.0000  0.3957
Pt  0.5000  0.0000  0.6043
Pt  0.5000  0.5000  0.1515
Pt  0.5000  0.5000  0.8485


This entry pairs a crystal structure of AcZn2CdPt2 with its theoretical X-ray powder pattern. Radiation: a wavelength of 1.5418 Å. Structure: a DFT-relaxed cell (PBE, Alexandria).
Kinematic intensities with the Lorentz-polarization factor, no thermal factor.

Most intense lines, 15° ≤ 2θ ≤ 90°, sorted by position:
| 2theta | I/Imax |
| --- | --- |
| 26.09 | 49 |
| 34.13 | 100 |
| 37.91 | 10 |
| 40.12 | 78 |
| 48.48 | 10 |
| 53.67 | 28 |
| 56.38 | 19 |
| 67.08 | 13 |
| 69.07 | 26 |
| 72.89 | 13 |

Cell and atoms:
a = 4.4952 Å, b = 4.4952 Å, c = 7.1196 Å
α = 90.00°, β = 90.00°, γ = 120.00°
Sites, in units of the cell vectors:
Ac  0.0000  0.0000  0.0000
Zn  0.3333  0.6667  0.3216
Zn  0.6667  0.3333  0.6784
Cd  0.0000  0.0000  0.5000
Pt  0.3333  0.6667  0.7136
Pt  0.6667  0.3333  0.2864


Number 2 is which compound?
AcCd2SnPt2


What did the third record say?
This entry pairs a crystal structure of Ac2CdSn3Pt6 with its theoretical X-ray powder pattern. Radiation: a wavelength of 1.5418 Å. Structure: a DFT-relaxed cell (PBE, Alexandria).
Kinematic intensities with the Lorentz-polarization factor, no thermal factor.

Most intense lines, 15° ≤ 2θ ≤ 90°, sorted by position:
| 2theta | I/Imax |
| --- | --- |
| 26.14 | 34 |
| 26.30 | 39 |
| 30.01 | 93 |
| 31.41 | 39 |
| 33.61 | 57 |
| 36.51 | 38 |
| 42.26 | 100 |
| 42.94 | 49 |
| 43.87 | 84 |
| 50.43 | 39 |

Cell and atoms:
a = 4.2775 Å, b = 4.2775 Å, c = 16.9400 Å
α = 90.00°, β = 90.00°, γ = 90.00°
Sites, in units of the cell vectors:
Ac  0.0000  0.0000  0.1972
Ac  0.0000  0.0000  0.8028
Cd  0.0000  0.0000  0.5000
Sn  0.5000  0.5000  0.0000
Sn  0.5000  0.5000  0.3078
Sn  0.5000  0.5000  0.6922
Pt  0.0000  0.5000  0.3957
Pt  0.0000  0.5000  0.6043
Pt  0.5000  0.0000  0.3957
Pt  0.5000  0.0000  0.6043
Pt  0.5000  0.5000  0.1515
Pt  0.5000  0.5000  0.8485